[1]
Diffraction record for Lu2TcAu. The X-ray diffraction stick pattern is theoretical, not measured: it uses a crystal structure in the Materials Project, relaxed with PBE and CuKα.
Peak positions follow from Bragg's law for the DFT cell and can differ from measured ones.

Top 10 peaks for 15 to 90 degrees two-theta, sorted by position:
| d/Å | 2theta | I (rel.) |
| --- | --- | --- |
| 3.966 | 22.4 | 5.0 |
| 3.434 | 25.9 | 0.7 |
| 2.428 | 37.0 | 100.0 |
| 2.071 | 43.7 | 3.0 |
| 1.717 | 53.4 | 17.6 |
| 1.576 | 58.6 | 1.3 |
| 1.402 | 66.7 | 36.0 |
| 1.322 | 71.4 | 1.0 |
| 1.214 | 78.8 | 11.3 |
| 1.161 | 83.2 | 1.1 |

Cell and atoms:
```
data_Lu2TcAu
_space_group_name_H-M_alt 'F m -3 m'
_space_group_IT_number 225
_space_group_name_Hall '-F 4 2 3'
_cell_length_a 6.869
_cell_length_b 6.869
_cell_length_c 6.869
_cell_angle_alpha 90.00
_cell_angle_beta 90.00
_cell_angle_gamma 90.00
loop_
_atom_site_label
_atom_site_type_symbol
_atom_site_fract_x
_atom_site_fract_y
_atom_site_fract_z
Lu1 Lu 0.250 0.250 0.250
Tc1 Tc 0.000 0.000 0.000
Au1 Au 0.000 0.000 0.500
```

---

[2]
Diffraction record for TbMnSi. The X-ray diffraction stick pattern is theoretical, not measured: it uses a crystal structure in the Materials Project, relaxed with PBE and CuKα.
Peak positions follow from Bragg's law for the DFT cell and can differ from measured ones.

Top 12 peaks for 15 to 90 degrees two-theta, sorted by position:
| d/Å | 2theta | I (rel.) |
| --- | --- | --- |
| 3.617 | 24.6 | 53.6 |
| 3.517 | 25.3 | 33.9 |
| 2.592 | 34.6 | 85.9 |
| 2.578 | 34.8 | 28.3 |
| 2.522 | 35.6 | 100.0 |
| 2.378 | 37.8 | 41.0 |
| 2.153 | 42.0 | 19.8 |
| 2.058 | 44.0 | 33.2 |
| 1.582 | 58.3 | 20.7 |
| 1.556 | 59.4 | 21.9 |
| 1.388 | 67.5 | 24.8 |
| 1.261 | 75.4 | 19.6 |

Cell and atoms:
```
data_TbMnSi
_space_group_name_H-M_alt 'P n m a'
_space_group_IT_number 62
_cell_length_a 7.035
_cell_length_b 4.116
_cell_length_c 7.580
_cell_angle_alpha 90.00
_cell_angle_beta 90.00
_cell_angle_gamma 90.00
loop_
_space_group_symop_operation_xyz
'x,y,z'
'-x,-y,-z'
'-x+1/2,-y,z+1/2'
'x+1/2,y,-z+1/2'
'x+1/2,-y+1/2,-z+1/2'
'-x+1/2,y+1/2,z+1/2'
'-x,y+1/2,-z'
'x,-y+1/2,z'
loop_
_atom_site_label
_atom_site_type_symbol
_atom_site_fract_x
_atom_site_fract_y
_atom_site_fract_z
Tb1 Tb 0.007 0.250 0.186
Mn1 Mn 0.137 0.250 0.558
Si1 Si 0.210 0.750 0.390
```

---

[3]
Diffraction record for Bi2Ir2O7. The X-ray diffraction stick pattern is theoretical, not measured: it uses a crystal structure in the Materials Project, relaxed with PBE and CuKα.
Peak positions follow from Bragg's law for the DFT cell and can differ from measured ones.

Top 9 peaks for 15 to 90 degrees two-theta, sorted by position:
| d/Å | 2theta | I (rel.) |
| --- | --- | --- |
| 3.012 | 29.7 | 100.0 |
| 2.608 | 34.4 | 39.2 |
| 2.394 | 37.6 | 0.9 |
| 1.844 | 49.4 | 44.5 |
| 1.573 | 58.7 | 45.4 |
| 1.506 | 61.6 | 11.6 |
| 1.304 | 72.5 | 6.9 |
| 1.197 | 80.2 | 19.0 |
| 1.166 | 82.7 | 16.4 |

Cell and atoms:
Cell: 10.433 10.433 10.433 Å, 90.00 90.00 90.00°
Space group Fd-3m (No. 227, origin choice 2)
Inequivalent atoms, fractional coordinates:
1 Bi 0.000 0.000 0.000
2 Ir 0.000 0.000 0.500
3 O 0.081 0.375 0.875
4 O 0.125 0.125 0.125

---

[4]
Diffraction record for Tb5Te9. The X-ray diffraction stick pattern is theoretical, not measured: it uses a crystal structure in the Materials Project, relaxed with PBE and CuKα.
Peak positions follow from Bragg's law for the DFT cell and can differ from measured ones.

Top 12 peaks for 15 to 90 degrees two-theta, sorted by position:
| d/Å | 2theta | I (rel.) |
| --- | --- | --- |
| 4.511 | 19.7 | 40.4 |
| 3.793 | 23.5 | 37.1 |
| 3.202 | 27.9 | 83.1 |
| 2.935 | 30.5 | 38.2 |
| 2.791 | 32.1 | 46.4 |
| 2.751 | 32.6 | 100.0 |
| 2.722 | 32.9 | 49.6 |
| 2.683 | 33.4 | 35.5 |
| 2.648 | 33.9 | 79.2 |
| 2.643 | 33.9 | 57.6 |
| 2.615 | 34.3 | 41.3 |
| 2.293 | 39.3 | 39.0 |

Cell and atoms:
```
data_Tb5Te9
_space_group_name_H-M_alt 'P 1 2 1'
_space_group_IT_number 3
_cell_length_a 11.717
_cell_length_b 16.098
_cell_length_c 11.953
_cell_angle_alpha 90.00
_cell_angle_beta 90.98
_cell_angle_gamma 90.00
loop_
_space_group_symop_operation_xyz
'x,y,z'
'-x,y,-z'
loop_
_atom_site_label
_atom_site_type_symbol
_atom_site_fract_x
_atom_site_fract_y
_atom_site_fract_z
Tb1 Tb 0.000 0.000 0.000
Tb2 Tb 0.000 0.350 0.000
Tb3 Tb 0.030 0.881 0.745
Tb4 Tb 0.056 0.504 0.688
Tb5 Tb 0.234 0.744 0.488
Tb6 Tb 0.241 0.385 0.440
Tb7 Tb 0.252 0.486 0.016
Tb8 Tb 0.343 0.043 0.082
Tb9 Tb 0.378 0.781 0.796
Tb10 Tb 0.413 0.251 0.839
Tb11 Tb 0.500 0.275 0.500
Tb12 Tb 0.500 0.896 0.500
Te1 Te 0.000 0.358 0.500
Te2 Te 0.000 0.547 0.000
Te3 Te 0.000 0.819 0.000
Te4 Te 0.000 0.833 0.500
Te5 Te 0.104 0.042 0.218
Te6 Te 0.116 0.695 0.717
Te7 Te 0.133 0.392 0.207
Te8 Te 0.166 0.563 0.457
Te9 Te 0.192 0.365 0.832
Te10 Te 0.209 0.778 0.241
Te11 Te 0.223 0.900 0.934
Te12 Te 0.278 0.910 0.616
Te13 Te 0.285 0.224 0.595
Te14 Te 0.302 0.593 0.802
Te15 Te 0.329 0.228 0.078
Te16 Te 0.397 0.892 0.253
Te17 Te 0.416 0.059 0.836
Te18 Te 0.441 0.379 0.280
Te19 Te 0.500 0.458 0.500
Te20 Te 0.500 0.464 0.000
Te21 Te 0.500 0.712 0.500
Te22 Te 0.500 0.739 0.000
```

---

[5]
Diffraction record for Na2Dy2B2TeO10. The X-ray diffraction stick pattern is theoretical, not measured: it uses a crystal structure in the Materials Project, relaxed with PBE and CuKα.
Peak positions follow from Bragg's law for the DFT cell and can differ from measured ones.

Top 12 peaks for 15 to 90 degrees two-theta, sorted by position:
| d/Å | 2theta | I (rel.) |
| --- | --- | --- |
| 5.262 | 16.8 | 60.7 |
| 3.296 | 27.1 | 63.2 |
| 3.259 | 27.4 | 41.7 |
| 3.149 | 28.3 | 24.7 |
| 2.989 | 29.9 | 100.0 |
| 2.951 | 30.3 | 57.6 |
| 2.816 | 31.8 | 61.3 |
| 2.641 | 33.9 | 33.4 |
| 2.580 | 34.8 | 18.9 |
| 1.953 | 46.5 | 25.3 |
| 1.869 | 48.7 | 26.8 |
| 1.838 | 49.6 | 32.9 |

Cell and atoms:
```
data_Na2Dy2B2TeO10
_space_group_name_H-M_alt 'P 1 21/c 1'
_space_group_IT_number 14
_cell_length_a 6.368
_cell_length_b 10.060
_cell_length_c 6.799
_cell_angle_alpha 90.00
_cell_angle_beta 104.21
_cell_angle_gamma 90.00
loop_
_space_group_symop_operation_xyz
'x,y,z'
'-x,-y,-z'
'-x,y+1/2,-z+1/2'
'x,-y+1/2,z+1/2'
loop_
_atom_site_label
_atom_site_type_symbol
_atom_site_fract_x
_atom_site_fract_y
_atom_site_fract_z
Na1 Na 0.085 0.111 0.164
Dy1 Dy 0.373 0.666 0.976
B1 B 0.163 0.100 0.627
Te1 Te 0.500 0.000 0.000
O1 O 0.019 0.673 0.943
O2 O 0.209 0.061 0.835
O3 O 0.300 0.062 0.508
O4 O 0.338 0.616 0.635
O5 O 0.494 0.150 0.177
```

---

[6]
Diffraction record for ZrGaPt. The X-ray diffraction stick pattern is theoretical, not measured: it uses a crystal structure in the Materials Project, relaxed with PBE and CuKα.
Peak positions follow from Bragg's law for the DFT cell and can differ from measured ones.

Top 12 peaks for 15 to 90 degrees two-theta, sorted by position:
| d/Å | 2theta | I (rel.) |
| --- | --- | --- |
| 3.605 | 24.7 | 61.4 |
| 3.102 | 28.8 | 40.5 |
| 2.538 | 35.4 | 62.2 |
| 2.360 | 38.1 | 19.7 |
| 2.351 | 38.3 | 100.0 |
| 2.081 | 43.5 | 74.0 |
| 1.969 | 46.1 | 60.3 |
| 1.787 | 51.1 | 20.0 |
| 1.363 | 68.9 | 16.7 |
| 1.356 | 69.3 | 28.1 |
| 1.330 | 70.9 | 36.5 |
| 1.179 | 81.7 | 15.3 |

Cell and atoms:
```
data_ZrGaPt
_space_group_name_H-M_alt 'P -6 2 c'
_space_group_IT_number 190
_space_group_name_Hall 'P -6c -2c'
_cell_length_a 7.2097
_cell_length_b 7.2097
_cell_length_c 7.1495
_cell_angle_alpha 90.00
_cell_angle_beta 90.00
_cell_angle_gamma 120.00
loop_
_atom_site_label
_atom_site_type_symbol
_atom_site_fract_x
_atom_site_fract_y
_atom_site_fract_z
Zr1 Zr 0.0217 0.6132 0.2500
Ga1 Ga 0.0000 0.2673 0.0000
Pt1 Pt 0.0000 0.0000 0.2500
Pt2 Pt 0.3333 0.6667 0.5306
```

---

[7]
Diffraction record for CuH5C5NCl. The X-ray diffraction stick pattern is theoretical, not measured: it uses a crystal structure in the Materials Project, relaxed with PBE and CuKα.
Peak positions follow from Bragg's law for the DFT cell and can differ from measured ones.

Top 12 peaks for 15 to 90 degrees two-theta, sorted by position:
| d/Å | 2theta | I (rel.) |
| --- | --- | --- |
| 5.768 | 15.4 | 24.2 |
| 5.127 | 17.3 | 100.0 |
| 4.937 | 18.0 | 29.3 |
| 4.619 | 19.2 | 42.8 |
| 4.201 | 21.1 | 30.9 |
| 3.853 | 23.1 | 34.3 |
| 3.693 | 24.1 | 28.5 |
| 3.449 | 25.8 | 32.8 |
| 3.056 | 29.2 | 18.3 |
| 2.406 | 37.4 | 31.8 |
| 2.384 | 37.7 | 20.8 |
| 1.829 | 49.9 | 19.3 |

Cell and atoms:
```
data_CuH5C5NCl
_space_group_name_H-M_alt 'P 1 21/c 1'
_space_group_IT_number 14
_cell_length_a 6.917
_cell_length_b 7.712
_cell_length_c 13.916
_cell_angle_alpha 90.00
_cell_angle_beta 112.49
_cell_angle_gamma 90.00
loop_
_space_group_symop_operation_xyz
'x,y,z'
'-x,-y,-z'
'-x,y+1/2,-z+1/2'
'x,-y+1/2,z+1/2'
loop_
_atom_site_label
_atom_site_type_symbol
_atom_site_fract_x
_atom_site_fract_y
_atom_site_fract_z
Cu1 Cu 0.026 0.137 0.089
H1 H 0.079 0.721 0.769
H2 H 0.108 0.542 0.923
H3 H 0.289 0.633 0.354
H4 H 0.310 0.040 0.607
H5 H 0.464 0.697 0.543
C1 C 0.176 0.736 0.347
C2 C 0.198 0.662 0.933
C3 C 0.363 0.690 0.034
C4 C 0.404 0.577 0.115
C5 C 0.428 0.100 0.290
N1 N 0.286 0.113 0.210
Cl1 Cl 0.119 0.160 0.947
```

---

[8]
Diffraction record for AlVFe2. The X-ray diffraction stick pattern is theoretical, not measured: it uses a crystal structure in the Materials Project, relaxed with PBE and CuKα.
Peak positions follow from Bragg's law for the DFT cell and can differ from measured ones.

Top 8 peaks for 15 to 90 degrees two-theta, sorted by position:
| d/Å | 2theta | I (rel.) |
| --- | --- | --- |
| 3.295 | 27.1 | 4.0 |
| 2.854 | 31.3 | 6.3 |
| 2.018 | 44.9 | 100.0 |
| 1.721 | 53.2 | 1.5 |
| 1.648 | 55.8 | 1.5 |
| 1.427 | 65.4 | 14.8 |
| 1.276 | 74.3 | 1.6 |
| 1.165 | 82.9 | 29.0 |

Cell and atoms:
```
data_AlVFe2
_space_group_name_H-M_alt 'F m -3 m'
_space_group_IT_number 225
_space_group_name_Hall '-F 4 2 3'
_cell_length_a 5.708
_cell_length_b 5.708
_cell_length_c 5.708
_cell_angle_alpha 90.00
_cell_angle_beta 90.00
_cell_angle_gamma 90.00
loop_
_atom_site_label
_atom_site_type_symbol
_atom_site_fract_x
_atom_site_fract_y
_atom_site_fract_z
Al1 Al 0.000 0.000 0.000
V1 V 0.000 0.000 0.500
Fe1 Fe 0.250 0.250 0.250
```

---

[9]
Diffraction record for RbLiMg6. The X-ray diffraction stick pattern is theoretical, not measured: it uses a crystal structure in the Materials Project, relaxed with PBE and CuKα.
Peak positions follow from Bragg's law for the DFT cell and can differ from measured ones.

Top 12 peaks for 15 to 90 degrees two-theta, sorted by position:
| d/Å | 2theta | I (rel.) |
| --- | --- | --- |
| 5.767 | 15.4 | 57.6 |
| 3.948 | 22.5 | 66.7 |
| 3.541 | 25.2 | 21.0 |
| 2.964 | 30.2 | 30.4 |
| 2.884 | 31.0 | 45.8 |
| 2.737 | 32.7 | 88.5 |
| 2.708 | 33.1 | 48.8 |
| 2.545 | 35.3 | 100.0 |
| 1.974 | 46.0 | 29.7 |
| 1.530 | 60.5 | 19.8 |
| 1.482 | 62.7 | 19.9 |
| 1.393 | 67.2 | 20.2 |

Cell and atoms:
```
data_RbLiMg6
_space_group_name_H-M_alt 'A m m 2'
_space_group_IT_number 38
_cell_length_a 5.417
_cell_length_b 6.475
_cell_length_c 12.687
_cell_angle_alpha 90.00
_cell_angle_beta 90.00
_cell_angle_gamma 90.00
loop_
_space_group_symop_operation_xyz
'x,y,z'
'-x,-y,z'
'-x,y,z'
'x,-y,z'
'x,y+1/2,z+1/2'
'-x,-y+1/2,z+1/2'
'-x,y+1/2,z+1/2'
'x,-y+1/2,z+1/2'
loop_
_atom_site_label
_atom_site_type_symbol
_atom_site_fract_x
_atom_site_fract_y
_atom_site_fract_z
Rb1 Rb 0.000 0.000 0.000
Li1 Li 0.000 0.000 0.478
Mg1 Mg 0.000 0.246 0.743
Mg2 Mg 0.500 0.000 0.168
Mg3 Mg 0.500 0.000 0.635
Mg4 Mg 0.500 0.241 0.379
```

---

Question: What is the formula in the ninth record?
Answer: RbLiMg6